Starting from a structure optimized by DFT (PBE), the powder diffraction line list of Pu2Tl3CuSe6 was calculated for Cu Kα, 1.54184 Å.

```
data_Pu2Tl3CuSe6
_chemical_formula_sum 'Pu4 Tl6 Cu2 Se12'
_cell_length_a 7.0415
_cell_length_b 12.3161
_cell_length_c 8.0920
_cell_angle_alpha 90.00
_cell_angle_beta 106.90
_cell_angle_gamma 90.00
_space_group_name_H-M_alt 'C 1 2/m 1'
_space_group_IT_number 12
loop_
_space_group_symop_operation_xyz
'x,y,z'
'-x,-y,-z'
'-x,y,-z'
'x,-y,z'
'x+1/2,y+1/2,z'
'-x+1/2,-y+1/2,-z'
'-x+1/2,y+1/2,-z'
'x+1/2,-y+1/2,z'
loop_
_atom_site_label
_atom_site_type_symbol
_atom_site_fract_x
_atom_site_fract_y
_atom_site_fract_z
_atom_site_occupancy
Pu1 Pu 0.0000 0.1660 0.0000 1
Tl1 Tl 0.0000 0.0000 0.5000 1
Tl2 Tl 0.0000 0.3309 0.5000 1
Cu1 Cu 0.0000 0.5000 0.0000 1
Se1 Se 0.2297 0.3357 0.1992 1
Se2 Se 0.2437 0.0000 0.1960 1
```

Peak list (10 most intense, 2θ = 15–90°, by angle)
- 22.97 deg, d 3.871, I = 206
- 26.27 deg, d 3.392, I = 234
- 29.52 deg, d 3.026, I = 1000
- 29.66 deg, d 3.012, I = 483
- 40.13 deg, d 2.247, I = 367
- 40.28 deg, d 2.239, I = 184
- 44.12 deg, d 2.053, I = 175
- 44.46 deg, d 2.038, I = 341
- 46.79 deg, d 1.942, I = 145
- 54.07 deg, d 1.696, I = 181